For LiCoPO4, a crystal structure in Alexandria, relaxed with GGA+U gives the calculated PXRD pattern in this record (Cu Kα).
Peak positions follow from Bragg's law for the DFT cell and can differ from measured ones.

Peak list (12 most intense, 2θ = 5–70°, low angle first)
two_theta, I (rel.)
12.8, 27
20.6, 33
21.8, 100
22.2, 26
25.7, 84
27.5, 19
31.7, 85
34.2, 76
39.1, 26
42.4, 16
49.2, 39
66.0, 43

Structural model:
Cell: 8.588 8.588 8.588 Å, 107.85 107.85 107.85°
Atoms (fractional coordinates):
Li1 0.021 0.190 0.789
Li2 0.190 0.789 0.021
Li3 0.304 0.701 0.486
Li4 0.486 0.304 0.701
Li5 0.701 0.486 0.304
Li6 0.789 0.021 0.190
Co1 0.145 0.968 0.378
Co2 0.378 0.145 0.968
Co3 0.457 0.678 0.864
Co4 0.678 0.864 0.457
Co5 0.864 0.457 0.678
Co6 0.968 0.378 0.145
P1 0.038 0.818 0.632
P2 0.123 0.344 0.528
P3 0.344 0.528 0.123
P4 0.528 0.123 0.344
P5 0.632 0.038 0.818
P6 0.818 0.632 0.038
O1 0.013 0.328 0.641
O2 0.148 0.823 0.518
O3 0.170 0.893 0.837
O4 0.224 0.543 0.225
O5 0.225 0.224 0.543
O6 0.266 0.544 0.606
O7 0.274 0.324 0.990
O8 0.324 0.990 0.274
O9 0.328 0.641 0.013
O10 0.518 0.148 0.823
O11 0.543 0.225 0.224
O12 0.544 0.606 0.266
O13 0.559 0.892 0.620
O14 0.606 0.266 0.544
O15 0.610 0.939 0.940
O16 0.620 0.559 0.892
O17 0.641 0.013 0.328
O18 0.823 0.518 0.148
O19 0.837 0.170 0.893
O20 0.892 0.620 0.559
O21 0.893 0.837 0.170
O22 0.939 0.940 0.610
O23 0.940 0.610 0.939
O24 0.990 0.274 0.324